# PrNdInGa
Simulated XRD peak list, CuKα. Input: a structure optimized by DFT (PBE).

Main lines, sorted by position (10° ≤ 2θ ≤ 80°):
| 2θ (°) | intensity | index |
| --- | --- | --- |
| 33.20 | 100 | 1 0 2 |
| 33.50 | 50 | 1 1 0 |
| 47.20 | 9 | 0 0 4 |
| 48.11 | 18 | 2 0 0 |
| 59.12 | 18 | 1 1 4 |
| 59.70 | 36 | 2 1 2 |
| 69.69 | 11 | 2 0 4 |
| 78.72 | 7 | 1 0 6 |

Atomic structure:
Lattice parameters (Å, degrees): 3.7826 3.7826 7.7020 90.00 90.00 90.00
Space group P4mm (No. 99)
Unique sites:
Pr 0.0000 0.0000 0.0000 x1
Nd 0.0000 0.0000 0.4727 x1
In 0.5000 0.5000 0.7336 x1
Ga 0.5000 0.5000 0.2396 x1